(1)
Diffraction record for Sr2NbInO6. The X-ray diffraction stick pattern is simulated, not measured: it uses a crystal structure in the Materials Project, relaxed with PBE and Cu Kα X-rays.
Neutral-atom scattering factors, no anomalous dispersion.

Cell and atoms:
```
20
Lattice="5.797 0.000 0.000 0.000 5.851 0.000 -5.787 0.000 8.214" Properties=species:S:1:pos:R:3 pbc="T T T"
Sr -0.040 0.199 2.060
Sr -2.933 2.726 6.167
Sr 2.943 3.125 2.047
Sr 0.050 5.652 6.154
Nb -2.893 0.000 4.107
Nb 0.000 2.926 0.000
In 2.899 0.000 0.000
In 0.005 2.926 4.107
O -4.612 1.311 7.874
O -1.719 1.615 3.767
O -4.189 4.123 7.899
O -1.296 4.654 3.792
O -2.453 0.113 6.075
O 0.441 2.812 1.968
O -0.430 3.039 6.245
O 2.463 5.738 2.138
O 1.306 1.197 4.421
O 4.199 1.729 0.315
O 1.729 4.237 4.447
O 4.623 4.540 0.340
```

Principal peaks in the range 10° ≤ 2θ ≤ 90°, by angle:
two_theta	Rel. int.
30.56	24
30.75	100
30.85	24
43.97	29
44.10	15
54.43	18
54.60	11
54.79	34
64.04	16
72.62	7
72.81	12
89.33	8

(2)
Diffraction record for Sr2NbInO6. The X-ray diffraction stick pattern is simulated, not measured: it uses a crystal structure in the Materials Project, relaxed with PBE and Cu Kα X-rays.
Neutral-atom scattering factors, no anomalous dispersion.

Cell and atoms:
```
10
Lattice="0.000 4.139 4.139 4.139 0.000 4.139 4.139 4.139 0.000" Properties=species:S:1:pos:R:3 pbc="T T T"
Sr 2.070 2.070 2.070
Sr 6.209 6.209 6.209
Nb 0.000 0.000 0.000
In 4.139 4.139 4.139
O 4.139 4.139 2.001
O 4.139 2.001 4.139
O 6.278 4.139 4.139
O 2.001 4.139 4.139
O 4.139 6.278 4.139
O 4.139 4.139 6.278
```

Principal peaks in the range 10° ≤ 2θ ≤ 90°, by angle:
two_theta	Rel. int.
21.47	5
30.54	100
35.98	1
37.64	1
43.74	34
49.22	2
54.28	39
63.58	20
67.94	1
72.17	17
80.36	7
88.35	21

(3)
Diffraction record for NbInTe2O8. The X-ray diffraction stick pattern is simulated, not measured: it uses a crystal structure in the Materials Project, relaxed with PBE and Cu Kα X-rays.
Neutral-atom scattering factors, no anomalous dispersion.

Cell and atoms:
```
48
Lattice="7.811 0.000 0.000 0.000 11.045 0.000 0.000 0.000 7.812" Properties=species:S:1:pos:R:3 pbc="T T T"
Nb 0.239 11.041 0.000
Nb 3.666 11.041 3.906
Nb 4.145 0.004 0.000
Nb 7.571 0.004 3.906
In 0.035 5.383 3.954
In 3.870 5.383 0.047
In 3.940 5.662 3.954
In 7.775 5.662 0.047
Te 1.631 8.314 5.093
Te 1.841 3.165 5.827
Te 2.064 3.165 1.920
Te 2.275 8.314 1.187
Te 5.536 2.731 5.093
Te 5.746 7.880 5.827
Te 5.970 7.880 1.920
Te 6.180 2.731 1.187
O 0.157 10.641 5.967
O 0.413 4.144 1.606
O 0.493 4.526 6.070
O 0.535 9.100 3.736
O 0.647 9.146 0.566
O 1.453 3.733 3.863
O 1.908 0.571 4.009
O 1.941 6.667 0.179
O 1.965 6.667 4.085
O 1.997 0.571 0.103
O 2.452 3.733 7.770
O 3.259 9.146 4.472
O 3.370 9.100 7.642
O 3.413 4.526 2.164
O 3.492 4.144 5.512
O 3.748 10.641 2.060
O 4.062 0.404 5.967
O 4.319 6.901 1.606
O 4.398 6.518 6.070
O 4.440 1.945 3.736
O 4.552 1.899 0.566
O 5.359 7.312 3.863
O 5.814 10.474 4.009
O 5.846 4.378 0.179
O 5.870 4.378 4.085
O 5.902 10.474 0.103
O 6.357 7.312 7.770
O 7.164 1.899 4.472
O 7.275 1.945 7.642
O 7.318 6.518 2.164
O 7.397 6.901 5.512
O 7.653 0.404 2.060
```

Principal peaks in the range 10° ≤ 2θ ≤ 90°, by angle:
two_theta	Rel. int.
22.77	8
26.76	17
27.98	100
30.27	7
32.42	36
33.45	7
35.42	6
46.51	30
48.77	12
55.15	26
57.83	5
64.83	7

(4)
Diffraction record for NbInRu. The X-ray diffraction stick pattern is simulated, not measured: it uses a crystal structure in the Materials Project, relaxed with PBE and Cu Kα X-rays.
Neutral-atom scattering factors, no anomalous dispersion.

Cell and atoms:
```
3
Lattice="0.000 3.131 3.131 3.131 0.000 3.131 3.131 3.131 0.000" Properties=species:S:1:pos:R:3 pbc="T T T"
Nb 0.000 0.000 0.000
In 3.131 3.131 3.131
Ru 1.566 1.566 1.566
```

Principal peaks in the range 10° ≤ 2θ ≤ 90°, by angle:
two_theta	Rel. int.
24.62	29
28.51	16
40.75	100
48.20	14
50.49	4
59.00	16
64.91	5
66.81	5
74.18	33
79.54	4
88.28	11

(5)
Diffraction record for NbInS2. The X-ray diffraction stick pattern is simulated, not measured: it uses a crystal structure in the Materials Project, relaxed with PBE and Cu Kα X-rays.
Neutral-atom scattering factors, no anomalous dispersion.

Cell and atoms:
```
4
Lattice="3.385 0.000 0.000 -1.693 2.932 0.000 0.000 0.000 8.260" Properties=species:S:1:pos:R:3 pbc="T T T"
Nb 0.000 0.000 0.000
In 0.000 0.000 4.130
S 0.000 1.955 1.568
S 0.000 1.955 6.692
```

Principal peaks in the range 10° ≤ 2θ ≤ 90°, by angle:
two_theta	Rel. int.
21.52	32
30.49	55
37.62	100
43.84	9
54.19	22
54.34	26
58.97	13
63.46	6
67.84	17
72.16	11
76.43	8
80.32	8

(6)
Diffraction record for NbInS2. The X-ray diffraction stick pattern is simulated, not measured: it uses a crystal structure in the Materials Project, relaxed with PBE and Cu Kα X-rays.
Neutral-atom scattering factors, no anomalous dispersion.

Cell and atoms:
```
4
Lattice="3.336 0.000 0.000 -1.668 2.889 0.000 0.000 0.000 8.837" Properties=species:S:1:pos:R:3 pbc="T T T"
Nb 0.000 0.000 0.000
In 1.668 0.963 4.418
S 1.668 0.963 1.577
S 1.668 0.963 7.259
```

Principal peaks in the range 10° ≤ 2θ ≤ 90°, by angle:
two_theta	Rel. int.
20.10	63
30.95	58
32.61	100
37.18	21
40.85	14
43.90	99
55.06	32
59.21	21
65.47	13
70.78	16
72.94	21
88.58	17

(7)
Diffraction record for Nb6InSe8. The X-ray diffraction stick pattern is simulated, not measured: it uses a crystal structure in the Materials Project, relaxed with PBE and Cu Kα X-rays.
Neutral-atom scattering factors, no anomalous dispersion.

Cell and atoms:
```
15
Lattice="10.200 0.000 0.000 -5.100 8.833 0.000 0.000 0.000 3.501" Properties=species:S:1:pos:R:3 pbc="T T T"
Nb -3.695 7.260 0.000
Nb -0.676 3.885 1.751
Nb 0.660 2.003 0.000
Nb -1.397 7.475 1.751
Nb 2.073 6.305 1.751
Nb 3.035 8.404 0.000
In 5.100 2.944 1.751
Se 0.000 0.000 1.751
Se -3.058 5.429 1.751
Se 3.064 0.477 0.000
Se 0.000 5.889 0.000
Se 1.927 3.470 1.751
Se 1.131 8.766 1.751
Se 3.981 5.941 0.000
Se 8.255 2.415 0.000
```

Principal peaks in the range 10° ≤ 2θ ≤ 90°, by angle:
two_theta	Rel. int.
10.01	29
27.40	19
30.36	32
32.64	38
36.68	59
37.21	100
43.93	38
47.15	26
52.15	19
52.26	20
65.54	21
80.99	28

(8)
Diffraction record for NbInSe2. The X-ray diffraction stick pattern is simulated, not measured: it uses a crystal structure in the Materials Project, relaxed with PBE and Cu Kα X-rays.
Neutral-atom scattering factors, no anomalous dispersion.

Cell and atoms:
```
4
Lattice="3.465 0.000 0.000 -1.732 3.000 0.000 0.000 0.000 9.391" Properties=species:S:1:pos:R:3 pbc="T T T"
Nb 0.000 0.000 0.000
In 1.732 1.000 4.696
Se 1.732 1.000 1.676
Se 1.732 1.000 7.716
```

Principal peaks in the range 10° ≤ 2θ ≤ 90°, by angle:
two_theta	Rel. int.
18.90	15
28.51	13
29.78	69
31.30	33
35.51	11
41.70	100
52.85	31
61.14	9
61.84	8
67.49	11
69.48	21
83.18	15